Y3SbO7: theoretical powder diffraction line list (CuKα), based on DFT lattice parameters and positions (GGA-PBE).

Cell and atoms:
a b c (Å): 7.4937 10.6044 7.5485
angles (deg): 90.00 90.00 90.00
Space group Cmcm (No. 63)
Symmetry-distinct sites (fractional):
Y 0.0000 0.0000 0.0000 [4 per cell]
Y 0.2341 0.2657 0.2500 [8 per cell]
Sb 0.0000 0.5000 0.0000 [4 per cell]
O 0.0000 0.1304 0.7500 [4 per cell]
O 0.0000 0.1368 0.2500 [4 per cell]
O 0.0000 0.4302 0.2500 [4 per cell]
O 0.1974 0.3754 0.5298 [16 per cell]

Principal peaks in the range 2θ from 5° to 70°, low angle first:
| hkl | 2theta | I_rel |
| --- | --- | --- |
| 0 2 2 | 29.0 | 959 |
| 2 2 0 | 29.2 | 1000 |
| 2 0 2 | 33.7 | 367 |
| 0 4 0 | 33.8 | 165 |
| 0 0 4 | 48.2 | 182 |
| 2 4 2 | 48.5 | 627 |
| 4 0 0 | 48.6 | 147 |
| 2 2 4 | 57.4 | 282 |
| 4 2 2 | 57.6 | 483 |
| 4 4 0 | 60.5 | 82 |


YSbO3: theoretical powder diffraction line list (CuKα), based on DFT lattice parameters and positions (GGA-PBE).

Cell and atoms:
a b c (Å): 4.2504 4.2504 4.2504
angles (deg): 90.00 90.00 90.00
Space group Pm-3m (No. 221)
Symmetry-distinct sites (fractional):
Y 0.0000 0.0000 0.0000 [1 per cell]
Sb 0.5000 0.5000 0.5000 [1 per cell]
O 0.0000 0.5000 0.5000 [3 per cell]

Principal peaks in the range 2θ from 5° to 70°, low angle first:
| hkl | 2theta | I_rel |
| --- | --- | --- |
| 1 0 0 | 20.9 | 71 |
| 1 1 0 | 29.7 | 1000 |
| 2 0 0 | 42.5 | 328 |
| 2 1 0 | 47.9 | 29 |
| 2 1 1 | 52.8 | 401 |
| 2 2 0 | 61.7 | 200 |
| 3 0 0 | 65.9 | 13 |
| 3 1 0 | 70.0 | 171 |


YSbO3: theoretical powder diffraction line list (CuKα), based on DFT lattice parameters and positions (GGA-PBE).

Cell and atoms:
a b c (Å): 3.7750 3.7750 12.8595
angles (deg): 90.00 90.00 120.00
Space group P6_3/mmc (No. 194)
Symmetry-distinct sites (fractional):
Y 0.0000 0.0000 0.0000 [2 per cell]
Sb 0.3333 0.6667 0.2500 [2 per cell]
O 0.0000 0.0000 0.2500 [2 per cell]
O 0.3333 0.6667 0.0745 [4 per cell]

Principal peaks in the range 2θ from 5° to 70°, low angle first:
| hkl | 2theta | I_rel |
| --- | --- | --- |
| 0 0 4 | 27.7 | 594 |
| 1 0 1 | 28.2 | 1000 |
| 1 0 2 | 30.7 | 875 |
| 1 0 3 | 34.5 | 241 |
| 1 0 5 | 44.8 | 304 |
| 1 1 0 | 48.2 | 522 |
| 1 0 6 | 50.9 | 303 |
| 1 1 4 | 56.5 | 460 |
| 2 0 1 | 56.8 | 129 |
| 2 0 2 | 58.2 | 148 |


ZnSb3O7: theoretical powder diffraction line list (CuKα), based on DFT lattice parameters and positions (GGA-PBE).

Cell and atoms:
a b c (Å): 10.5526 10.4714 5.5354
angles (deg): 90.00 90.00 90.00
Space group Pnma (No. 62)
Symmetry-distinct sites (fractional):
Zn 0.1192 0.2500 0.1752 [4 per cell]
Sb 0.1298 0.0137 0.6570 [8 per cell]
Sb 0.1479 0.7500 0.2173 [4 per cell]
O 0.0334 0.2500 0.8357 [4 per cell]
O 0.0441 0.0925 0.3534 [8 per cell]
O 0.2089 0.6165 0.9952 [8 per cell]
O 0.2161 0.6310 0.4754 [8 per cell]

Principal peaks in the range 2θ from 5° to 70°, low angle first:
| hkl | 2theta | I_rel |
| --- | --- | --- |
| 0 1 1 | 18.1 | 115 |
| 1 2 1 | 24.9 | 251 |
| 2 2 1 | 28.9 | 1000 |
| 1 0 2 | 33.5 | 120 |
| 4 0 0 | 34.0 | 148 |
| 0 4 0 | 34.3 | 146 |
| 1 4 2 | 48.6 | 105 |
| 4 4 0 | 49.0 | 160 |
| 6 2 1 | 57.7 | 140 |
| 2 6 1 | 58.1 | 131 |


Zn3Sb2O7: theoretical powder diffraction line list (CuKα), based on DFT lattice parameters and positions (GGA-PBE).

Cell and atoms:
a b c (Å): 19.4433 5.5196 5.4572
angles (deg): 90.00 90.00 90.00
Space group Cmc2_1 (No. 36)
Symmetry-distinct sites (fractional):
Zn 0.0000 0.2437 0.0000 [4 per cell]
Zn 0.2063 0.2877 0.9568 [8 per cell]
Sb 0.1046 0.2416 0.4909 [8 per cell]
O 0.0000 0.1074 0.3547 [4 per cell]
O 0.0777 0.4227 0.8271 [8 per cell]
O 0.1421 0.0890 0.1679 [8 per cell]
O 0.2051 0.3636 0.5844 [8 per cell]

Principal peaks in the range 2θ from 5° to 70°, low angle first:
| hkl | 2theta | I_rel |
| --- | --- | --- |
| 1 1 1 | 23.4 | 98 |
| 0 2 0 | 32.4 | 251 |
| 5 1 1 | 32.6 | 1000 |
| 0 0 2 | 32.8 | 259 |
| 10 0 0 | 46.7 | 113 |
| 0 2 2 | 46.8 | 214 |
| 5 3 1 | 58.0 | 322 |
| 10 0 2 | 58.3 | 109 |
| 5 1 3 | 58.5 | 219 |
| 10 2 2 | 68.3 | 110 |


ZnSb2O6: theoretical powder diffraction line list (CuKα), based on DFT lattice parameters and positions (GGA-PBE).

Cell and atoms:
a b c (Å): 7.6282 5.3859 5.2553
angles (deg): 90.00 90.00 90.00
Space group Pmn2_1 (No. 31)
Symmetry-distinct sites (fractional):
Zn 0.0000 0.1931 0.0000 [2 per cell]
Sb 0.2503 0.2528 0.4904 [4 per cell]
O 0.0000 0.2915 0.6234 [2 per cell]
O 0.0000 0.8152 0.8875 [2 per cell]
O 0.1850 0.4283 0.1625 [4 per cell]
O 0.1890 0.9489 0.2965 [4 per cell]

Principal peaks in the range 2θ from 5° to 70°, low angle first:
| hkl | 2theta | I_rel |
| --- | --- | --- |
| 2 0 0 | 23.3 | 280 |
| 0 1 1 | 23.7 | 561 |
| 0 2 0 | 33.3 | 246 |
| 2 1 1 | 33.5 | 1000 |
| 0 0 2 | 34.1 | 227 |
| 4 0 0 | 47.7 | 138 |
| 0 2 2 | 48.4 | 238 |
| 0 3 1 | 53.9 | 217 |
| 2 3 1 | 59.6 | 186 |
| 2 1 3 | 60.7 | 253 |


ZnSbO3: theoretical powder diffraction line list (CuKα), based on DFT lattice parameters and positions (GGA-PBE).

Cell and atoms:
a b c (Å): 5.4905 8.0637 5.5598
angles (deg): 90.00 91.67 90.00
Space group P2_1/m (No. 11)
Symmetry-distinct sites (fractional):
Zn 0.0136 0.2500 0.4719 [2 per cell]
Zn 0.4766 0.7500 0.9948 [2 per cell]
Sb 0.0000 0.0000 0.0000 [2 per cell]
Sb 0.5000 0.0000 0.5000 [2 per cell]
O 0.1251 0.7500 0.8712 [2 per cell]
O 0.1793 0.5699 0.3617 [4 per cell]
O 0.3496 0.0705 0.8099 [4 per cell]
O 0.3947 0.2500 0.3654 [2 per cell]

Principal peaks in the range 2θ from 5° to 70°, low angle first:
| hkl | 2theta | I_rel |
| --- | --- | --- |
| 1 2 -1 | 31.7 | 699 |
| 1 2 1 | 32.2 | 1000 |
| 2 0 0 | 32.6 | 321 |
| 0 4 0 | 45.0 | 170 |
| 0 4 2 | 56.4 | 153 |
| 2 4 0 | 56.7 | 156 |
| 1 2 -3 | 56.8 | 180 |
| 3 2 -1 | 57.3 | 150 |
| 1 2 3 | 57.7 | 149 |
| 3 2 1 | 58.2 | 162 |


- Number 4 is which compound?
  ZnSb3O7